Simulated PXRD pattern of Li4Mn3Fe3Cu2O16 for Cu Kα (λ = 1.5418 Å), from DFT lattice parameters and positions (PBE+U).
Kinematic intensities with the Lorentz-polarization factor, no thermal factor.

Structural model:
Cell lengths 5.6703, 5.8622, 9.6456 Å; angles 91.07, 90.53, 118.01 degrees
Space group P1 (No. 1)
Asymmetric unit:
Li: 0.0000 0.0000 0.0000 (multiplicity 1)
Li: 0.0429 0.0858 0.5032 (multiplicity 1)
Li: 0.3255 0.6695 0.4130 (multiplicity 1)
Li: 0.6973 0.4021 0.9134 (multiplicity 1)
Mn: 0.2115 0.4330 0.7265 (multiplicity 1)
Mn: 0.3239 0.1474 0.2276 (multiplicity 1)
Mn: 0.8169 0.1501 0.2274 (multiplicity 1)
Fe: 0.2194 0.9318 0.7247 (multiplicity 1)
Fe: 0.7087 0.9257 0.7241 (multiplicity 1)
Fe: 0.8131 0.6457 0.2246 (multiplicity 1)
Cu: 0.3538 0.7131 0.9954 (multiplicity 1)
Cu: 0.6837 0.3739 0.4974 (multiplicity 1)
O: 0.0547 0.1103 0.8214 (multiplicity 1)
O: 0.0805 0.6154 0.8496 (multiplicity 1)
O: 0.1410 0.2972 0.1275 (multiplicity 1)
O: 0.1652 0.8366 0.1079 (multiplicity 1)
O: 0.3646 0.7401 0.6211 (multiplicity 1)
O: 0.3662 0.2477 0.6157 (multiplicity 1)
O: 0.4883 0.4496 0.3582 (multiplicity 1)
O: 0.5050 0.0076 0.3340 (multiplicity 1)
O: 0.5108 0.5964 0.8566 (multiplicity 1)
O: 0.5262 0.0625 0.8340 (multiplicity 1)
O: 0.6499 0.3170 0.1229 (multiplicity 1)
O: 0.6728 0.8353 0.1084 (multiplicity 1)
O: 0.8834 0.2605 0.6101 (multiplicity 1)
O: 0.8969 0.7840 0.6210 (multiplicity 1)
O: 0.9459 0.4621 0.3516 (multiplicity 1)
O: 0.9883 0.9787 0.3223 (multiplicity 1)

Main lines, low angle first (2θ from 15° to 90°):
hkl 0 0 2, 18.40°, I = 100
hkl 0 1 -1, 19.26°, I = 32
hkl 0 1 1, 19.68°, I = 29
hkl 1 0 -1, 19.82°, I = 37
hkl -1 1 1, 20.18°, I = 94
hkl 0 2 -1, 35.66°, I = 41
hkl 1 1 2, 35.93°, I = 35
hkl 0 2 1, 36.19°, I = 42